(1)
Theoretical PXRD pattern of AlReBr2 for Cu Kα, 1.54184 Å, from a structure optimized by DFT (GGA-PBE).
Intensities are scaled so that the largest is 100.

Atomic structure:
```
AlReBr2
1.0
3.815 0.000 0.000
0.000 3.218 0.000
-1.117 0.000 7.808
Al Re Br
1 1 2
direct
0.000 0.000 0.000
0.533 0.500 0.093
0.277 0.500 0.769
0.614 0.000 0.343
```

The 6 most intense peaks (2θ from 10° to 80°), in order of rising 2θ:
2theta, d (Å), I_rel
11.33, 7.808, 100
23.56, 3.777, 35
24.69, 3.606, 46
30.04, 2.975, 26
37.46, 2.401, 29
45.49, 1.994, 26


(2)
Theoretical PXRD pattern of Tm2Sb2H for Cu Kα, 1.54184 Å, from a structure optimized by DFT (GGA-PBE).
Intensities are scaled so that the largest is 100.

Atomic structure:
```
Tm2Sb2H
1.0
2.107 -9.159 0.000
2.107 9.159 0.000
0.000 0.000 6.068
Tm Sb H
4 4 2
direct
0.093 0.907 0.500
0.335 0.665 0.560
0.665 0.335 0.060
0.907 0.093 0.000
0.290 0.710 0.056
0.494 0.506 0.281
0.506 0.494 0.781
0.710 0.290 0.556
0.126 0.874 0.160
0.874 0.126 0.660
```

The 6 most intense peaks (2θ from 10° to 80°), in order of rising 2θ:
2theta, d (Å), I_rel
29.67, 3.011, 74
32.38, 2.765, 100
39.46, 2.283, 61
42.18, 2.142, 39
42.93, 2.107, 34
61.78, 1.502, 35